(1)
Theoretical powder diffractogram of La2PrPaN4 for CuKα, from DFT lattice parameters and positions (PBE).
Lines closer than 0.1° are merged.

Structural model:
a b c (Å): 6.316 3.654 6.367
angles (deg): 90.00 109.11 90.00
Fractional coordinates of all 8 atoms:
La1 0.000 0.000 0.000
La2 0.500 0.500 0.000
Pr1 0.000 0.500 0.500
Pa1 0.500 0.000 0.500
N1 0.273 0.000 0.724
N2 0.282 0.500 0.284
N3 0.718 0.500 0.716
N4 0.727 0.000 0.276

Principal peaks in the range 10° ≤ 2θ ≤ 90°, low angle first:
2θ = 29.7°, intensity 34
2θ = 30.0°, intensity 100
2θ = 34.6°, intensity 64
2θ = 34.7°, intensity 31
2θ = 49.7°, intensity 22
2θ = 50.0°, intensity 33
2θ = 59.2°, intensity 21
2θ = 59.3°, intensity 21

=====

(2)
Theoretical powder diffractogram of Ta2S for CuKα, from DFT lattice parameters and positions (PBE).
Lines closer than 0.1° are merged.

Structural model:
a b c (Å): 7.417 5.622 15.342
angles (deg): 90.00 90.00 90.00
Fractional coordinates of all 36 atoms:
Ta1 0.009 0.132 0.250
Ta2 0.009 0.368 0.750
Ta3 0.096 0.605 0.591
Ta4 0.096 0.605 0.909
Ta5 0.096 0.895 0.091
Ta6 0.096 0.895 0.409
Ta7 0.283 0.105 0.655
Ta8 0.283 0.105 0.845
Ta9 0.283 0.395 0.155
Ta10 0.283 0.395 0.345
Ta11 0.352 0.628 0.750
Ta12 0.352 0.872 0.250
Ta13 0.648 0.128 0.750
Ta14 0.648 0.372 0.250
Ta15 0.717 0.605 0.655
Ta16 0.717 0.605 0.845
Ta17 0.717 0.895 0.155
Ta18 0.717 0.895 0.345
Ta19 0.904 0.105 0.591
Ta20 0.904 0.105 0.909
Ta21 0.904 0.395 0.091
Ta22 0.904 0.395 0.409
Ta23 0.991 0.632 0.250
Ta24 0.991 0.868 0.750
S1 0.178 0.250 0.000
S2 0.178 0.250 0.500
S3 0.413 0.733 0.598
S4 0.413 0.733 0.902
S5 0.413 0.767 0.098
S6 0.413 0.767 0.402
S7 0.587 0.233 0.598
S8 0.587 0.233 0.902
S9 0.587 0.267 0.098
S10 0.587 0.267 0.402
S11 0.822 0.750 0.000
S12 0.822 0.750 0.500

Principal peaks in the range 10° ≤ 2θ ≤ 90°, low angle first:
2θ = 11.5°, intensity 98
2θ = 11.9°, intensity 73
2θ = 32.4°, intensity 54
2θ = 33.8°, intensity 63
2θ = 35.5°, intensity 67
2θ = 38.5°, intensity 86
2θ = 40.3°, intensity 43
2θ = 40.7°, intensity 100

=====

(3)
Theoretical powder diffractogram of CeHo2MgAu4 for CuKα, from DFT lattice parameters and positions (PBE).
Lines closer than 0.1° are merged.

Structural model:
a b c (Å): 8.881 8.881 8.881
angles (deg): 32.70 32.70 32.70
Fractional coordinates of all 8 atoms:
Ce1 0.000 0.000 0.000
Ho1 0.242 0.242 0.242
Ho2 0.758 0.758 0.758
Mg1 0.500 0.500 0.500
Au1 0.123 0.123 0.123
Au2 0.386 0.386 0.386
Au3 0.614 0.614 0.614
Au4 0.877 0.877 0.877

Principal peaks in the range 10° ≤ 2θ ≤ 90°, low angle first:
2θ = 25.0°, intensity 13
2θ = 35.2°, intensity 91
2θ = 35.9°, intensity 100
2θ = 51.2°, intensity 32
2θ = 64.1°, intensity 33
2θ = 64.6°, intensity 20
2θ = 76.1°, intensity 14
2θ = 86.8°, intensity 15

=====

(4)
Theoretical powder diffractogram of Na5B7C3 for CuKα, from DFT lattice parameters and positions (PBE).
Lines closer than 0.1° are merged.

Structural model:
a b c (Å): 4.992 7.692 9.041
angles (deg): 75.98 74.02 71.07
Fractional coordinates of all 30 atoms:
Na1 0.000 0.000 0.000
Na2 0.001 0.499 0.507
Na3 0.201 0.099 0.503
Na4 0.206 0.601 0.996
Na5 0.401 0.700 0.505
Na6 0.402 0.201 0.000
Na7 0.601 0.301 0.504
Na8 0.603 0.802 0.998
Na9 0.798 0.900 0.505
Na10 0.805 0.401 0.996
B1 0.033 0.862 0.752
B2 0.191 0.732 0.252
B3 0.219 0.950 0.251
B4 0.245 0.439 0.752
B5 0.358 0.362 0.252
B6 0.437 0.050 0.751
B7 0.570 0.950 0.252
B8 0.618 0.651 0.752
B9 0.633 0.151 0.252
B10 0.770 0.538 0.252
B11 0.834 0.749 0.252
B12 0.837 0.251 0.751
B13 0.970 0.651 0.752
B14 0.973 0.168 0.251
C1 0.040 0.354 0.252
C2 0.177 0.245 0.751
C3 0.367 0.853 0.752
C4 0.444 0.546 0.252
C5 0.571 0.448 0.752
C6 0.771 0.056 0.751

Principal peaks in the range 10° ≤ 2θ ≤ 90°, low angle first:
2θ = 35.7°, intensity 19
2θ = 41.7°, intensity 100
2θ = 41.9°, intensity 51
2θ = 42.2°, intensity 38
2θ = 64.5°, intensity 17
2θ = 76.8°, intensity 12
2θ = 79.4°, intensity 11
2θ = 80.1°, intensity 18

=====

(5)
Theoretical powder diffractogram of TbPmCo2 for CuKα, from DFT lattice parameters and positions (PBE).
Lines closer than 0.1° are merged.

Structural model:
a b c (Å): 3.885 5.662 7.607
angles (deg): 90.00 90.00 90.00
Fractional coordinates of all 8 atoms:
Tb1 0.000 0.131 0.000
Tb2 0.000 0.869 0.500
Pm1 0.500 0.368 0.357
Pm2 0.500 0.632 0.857
Co1 0.000 0.338 0.653
Co2 0.000 0.662 0.153
Co3 0.500 0.144 0.709
Co4 0.500 0.856 0.209

Principal peaks in the range 10° ≤ 2θ ≤ 90°, low angle first:
2θ = 30.3°, intensity 100
2θ = 33.0°, intensity 94
2θ = 33.8°, intensity 95
2θ = 36.7°, intensity 67
2θ = 38.9°, intensity 71
2θ = 41.2°, intensity 77
2θ = 46.8°, intensity 41
2θ = 58.9°, intensity 38

=====

(6)
Theoretical powder diffractogram of Pr2Tm4Th for CuKα, from DFT lattice parameters and positions (PBE).
Lines closer than 0.1° are merged.

Structural model:
a b c (Å): 9.048 9.048 9.048
angles (deg): 137.22 100.92 94.39
Fractional coordinates of all 14 atoms:
Pr1 0.000 0.000 0.000
Pr2 0.476 0.226 0.250
Pr3 0.500 0.000 0.500
Pr4 0.524 0.774 0.750
Tm1 0.130 0.639 0.490
Tm2 0.261 0.281 0.520
Tm3 0.261 0.740 0.980
Tm4 0.351 0.361 0.990
Tm5 0.649 0.639 0.010
Tm6 0.739 0.260 0.020
Tm7 0.739 0.719 0.480
Tm8 0.870 0.361 0.510
Th1 0.000 0.000 0.500
Th2 0.000 0.500 0.000

Principal peaks in the range 10° ≤ 2θ ≤ 90°, low angle first:
2θ = 25.6°, intensity 24
2θ = 29.1°, intensity 52
2θ = 30.0°, intensity 82
2θ = 31.1°, intensity 89
2θ = 31.2°, intensity 100
2θ = 33.0°, intensity 80
2θ = 35.8°, intensity 33
2θ = 36.6°, intensity 25

=====

(7)
Theoretical powder diffractogram of TmScHg4 for CuKα, from DFT lattice parameters and positions (PBE).
Lines closer than 0.1° are merged.

Structural model:
a b c (Å): 3.806 5.088 7.422
angles (deg): 90.00 104.91 90.00
Fractional coordinates of all 6 atoms:
Tm1 0.000 0.000 0.000
Sc1 0.796 0.500 0.589
Hg1 0.134 0.500 0.264
Hg2 0.331 0.000 0.662
Hg3 0.460 0.500 0.917
Hg4 0.668 0.000 0.336

Principal peaks in the range 10° ≤ 2θ ≤ 90°, low angle first:
2θ = 30.0°, intensity 15
2θ = 34.9°, intensity 100
2θ = 35.3°, intensity 28
2θ = 37.6°, intensity 13
2θ = 41.7°, intensity 15
2θ = 47.8°, intensity 12
2θ = 63.1°, intensity 19
2θ = 74.6°, intensity 13

=====

(8)
Theoretical powder diffractogram of Ac5Cd2Au2 for CuKα, from DFT lattice parameters and positions (PBE).
Lines closer than 0.1° are merged.

Structural model:
a b c (Å): 9.603 9.603 8.841
angles (deg): 90.00 90.00 50.01
Fractional coordinates of all 18 atoms:
Ac1 0.000 0.000 0.000
Ac2 0.039 0.701 0.675
Ac3 0.201 0.539 0.175
Ac4 0.299 0.961 0.675
Ac5 0.461 0.799 0.175
Ac6 0.500 0.500 0.500
Ac7 0.539 0.201 0.825
Ac8 0.701 0.039 0.325
Ac9 0.799 0.461 0.825
Ac10 0.961 0.299 0.325
Cd1 0.214 0.214 0.000
Cd2 0.286 0.286 0.500
Cd3 0.714 0.714 0.500
Cd4 0.786 0.786 0.000
Au1 0.125 0.875 0.373
Au2 0.375 0.625 0.873
Au3 0.625 0.375 0.127
Au4 0.875 0.125 0.627

Principal peaks in the range 10° ≤ 2θ ≤ 90°, low angle first:
2θ = 10.2°, intensity 44
2θ = 27.6°, intensity 92
2θ = 28.8°, intensity 54
2θ = 30.1°, intensity 43
2θ = 31.8°, intensity 100
2θ = 32.7°, intensity 61
2θ = 34.6°, intensity 37
2θ = 35.1°, intensity 48